(1)
La5Pm6Pr: calculated X-ray diffraction stick pattern (a wavelength of 1.5418 Å), based on the PBE geometry in Alexandria.

Structure:
```
data_La5Pm6Pr
_cell_length_a 6.4109
_cell_length_b 11.1309
_cell_length_c 12.1699
_cell_angle_alpha 90.00
_cell_angle_beta 100.24
_cell_angle_gamma 90.00
_space_group_name_H-M_alt 'C 1 2/m 1'
_space_group_IT_number 12
loop_
_space_group_symop_operation_xyz
'x,y,z'
'-x,-y,-z'
'-x,y,-z'
'x,-y,z'
'x+1/2,y+1/2,z'
'-x+1/2,-y+1/2,-z'
'-x+1/2,y+1/2,-z'
'x+1/2,-y+1/2,z'
loop_
_atom_site_label
_atom_site_fract_x
_atom_site_fract_y
_atom_site_fract_z
La1 0.0000 0.0000 0.0000
La2 0.0000 0.1668 0.5000
La3 0.0000 0.3336 0.0000
Pm1 0.2493 0.3335 0.7499
Pm2 0.2499 0.0000 0.7498
Pr1 0.0000 0.5000 0.5000
```

The 6 most intense peaks (2θ from 15° to 90°), low angle first:
- hkl 1 3 1, 2θ 29.56, intensity 100
- hkl 0 0 4, 2θ 29.84, intensity 33
- hkl 2 0 2, 2θ 34.34, intensity 67
- hkl 0 6 0, 2θ 49.17, intensity 24
- hkl 1 3 5, 2θ 49.54, intensity 24
- hkl 4 0 0, 2θ 58.54, intensity 24

(2)
CdCo2NiCl: calculated X-ray diffraction stick pattern (a wavelength of 1.5418 Å), based on the PBE geometry in Alexandria.

Structure:
```
data_CdCo2NiCl
_cell_length_a 4.1451
_cell_length_b 4.1451
_cell_length_c 4.2103
_cell_angle_alpha 90.00
_cell_angle_beta 90.00
_cell_angle_gamma 90.00
_space_group_name_H-M_alt 'P 4/m m m'
_space_group_IT_number 123
_space_group_name_Hall '-P 4 2'
loop_
_atom_site_label
_atom_site_fract_x
_atom_site_fract_y
_atom_site_fract_z
Cd1 0.0000 0.0000 0.0000
Co1 0.0000 0.5000 0.5000
Ni1 0.5000 0.5000 0.0000
Cl1 0.5000 0.5000 0.5000
```

The 6 most intense peaks (2θ from 15° to 90°), low angle first:
- hkl 1 0 1, 2θ 30.26, intensity 18
- hkl 1 1 1, 2θ 37.38, intensity 100
- hkl 0 0 2, 2θ 42.96, intensity 26
- hkl 2 0 0, 2θ 43.67, intensity 50
- hkl 2 0 2, 2θ 62.93, intensity 31
- hkl 3 1 1, 2θ 76.05, intensity 22

(3)
AuBr4N: calculated X-ray diffraction stick pattern (a wavelength of 1.5418 Å), based on the PBE geometry in Alexandria.

Structure:
```
data_AuBr4N
_cell_length_a 8.1591
_cell_length_b 7.7632
_cell_length_c 12.0856
_cell_angle_alpha 90.00
_cell_angle_beta 125.55
_cell_angle_gamma 90.00
_space_group_name_H-M_alt 'P 1 21/c 1'
_space_group_IT_number 14
loop_
_space_group_symop_operation_xyz
'x,y,z'
'-x,-y,-z'
'-x,y+1/2,-z+1/2'
'x,-y+1/2,z+1/2'
loop_
_atom_site_label
_atom_site_fract_x
_atom_site_fract_y
_atom_site_fract_z
Au1 0.0000 0.0000 0.0000
Br1 0.1418 0.2483 0.6437
Br2 0.3543 0.1036 0.5565
N1 0.5000 0.0000 0.5000
```

The 6 most intense peaks (2θ from 15° to 90°), low angle first:
- hkl 1 1 -1, 2θ 15.81, intensity 100
- hkl 1 1 0, 2θ 17.58, intensity 57
- hkl 0 0 2, 2θ 18.04, intensity 54
- hkl 1 1 1, 2θ 23.10, intensity 71
- hkl 2 1 -1, 2θ 25.50, intensity 47
- hkl 2 1 -3, 2θ 27.28, intensity 43

(4)
SmB3Rh6: calculated X-ray diffraction stick pattern (a wavelength of 1.5418 Å), based on the PBE geometry in Alexandria.

Structure:
```
data_SmB3Rh6
_cell_length_a 5.5341
_cell_length_b 5.5863
_cell_length_c 5.5954
_cell_angle_alpha 119.77
_cell_angle_beta 107.04
_cell_angle_gamma 90.03
_space_group_name_H-M_alt 'P 1'
_space_group_IT_number 1
loop_
_space_group_symop_operation_xyz
'x,y,z'
loop_
_atom_site_label
_atom_site_fract_x
_atom_site_fract_y
_atom_site_fract_z
Sm1 0.0000 0.0000 0.0000
B1 0.0427 0.3385 0.6768
B2 0.0602 0.6651 0.3268
B3 0.5121 0.2263 0.4528
Rh1 0.3102 0.0554 0.6058
Rh2 0.3105 0.5506 0.6036
Rh3 0.3174 0.5525 0.1005
Rh4 0.7652 0.9443 0.4024
Rh5 0.7658 0.4591 0.4035
Rh6 0.7686 0.4537 0.9084
```

The 6 most intense peaks (2θ from 15° to 90°), low angle first:
- hkl 2 0 0, 2θ 34.44, intensity 54
- hkl 2 1 -1, 2θ 36.28, intensity 52
- hkl 1 0 -2, 2θ 37.24, intensity 100
- hkl 0 2 0, 2θ 37.69, intensity 83
- hkl 0 2 -2, 2θ 37.80, intensity 84
- hkl 1 -2 0, 2θ 38.68, intensity 72

(5)
Pu2Tl2Cd: calculated X-ray diffraction stick pattern (a wavelength of 1.5418 Å), based on the PBE geometry in Alexandria.

Structure:
```
data_Pu2Tl2Cd
_cell_length_a 9.4502
_cell_length_b 10.1373
_cell_length_c 5.7254
_cell_angle_alpha 90.00
_cell_angle_beta 90.00
_cell_angle_gamma 90.00
_space_group_name_H-M_alt 'C c c m'
_space_group_IT_number 66
_space_group_name_Hall '-C 2 2c'
loop_
_atom_site_label
_atom_site_fract_x
_atom_site_fract_y
_atom_site_fract_z
Pu1 0.0877 0.2040 0.0000
Tl1 0.2349 0.0969 0.5000
Cd1 0.0000 0.5000 0.2500
```

The 6 most intense peaks (2θ from 15° to 90°), low angle first:
- hkl 1 3 0, 2θ 28.04, intensity 33
- hkl 0 0 2, 2θ 31.25, intensity 39
- hkl 1 3 1, 2θ 32.19, intensity 75
- hkl 3 1 1, 2θ 33.66, intensity 100
- hkl 2 2 2, 2θ 40.94, intensity 24
- hkl 3 1 3, 2θ 57.16, intensity 23